Entry 1:
TaTlCd2: calculated powder diffraction line list (Cu Ka), based on a GGA-PBE-relaxed structure.

Largest 10 diffraction maxima, low angle first, 2θ from 10° to 90°:
d/Å	Position (°2θ)	Rel. int.
5.009	17.71	10.5
2.581	34.75	100.0
2.505	35.85	18.4
2.139	42.25	15.7
2.120	42.64	15.3
1.627	56.58	9.9
1.506	61.58	10.2
1.461	63.72	10.4
1.305	72.42	11.7
1.296	72.97	11.5

Atomic structure:
Cell lengths 4.2407, 4.2783, 10.0188 Å; angles 90.00, 90.00, 90.00 degrees
Space group Cmmm (No. 65)
Symmetry-distinct sites (fractional):
Ta1 0.0000 0.0000 0.0000 (multiplicity 2)
Tl1 0.0000 0.0000 0.5000 (multiplicity 2)
Cd1 0.0000 0.5000 0.2149 (multiplicity 4)


Entry 2:
Ni5SbSe2: calculated powder diffraction line list (Cu Ka), based on a GGA-PBE-relaxed structure.

Largest 10 diffraction maxima, low angle first, 2θ from 10° to 90°:
d/Å	Position (°2θ)	Rel. int.
3.212	27.77	56.5
2.307	39.04	58.0
2.012	45.05	100.0
1.885	48.27	48.3
1.840	49.53	11.7
1.626	56.60	15.1
1.333	70.66	14.6
1.317	71.66	14.4
1.154	83.81	11.9
1.111	87.84	27.6

Atomic structure:
Cell lengths 3.7708, 3.7708, 18.4040 Å; angles 90.00, 90.00, 90.00 degrees
Space group I4/mmm (No. 139)
Symmetry-distinct sites (fractional):
Ni1 0.0000 0.0000 0.0000 (multiplicity 2)
Ni2 0.0000 0.5000 0.0991 (multiplicity 8)
Sb1 0.0000 0.0000 0.5000 (multiplicity 2)
Se1 0.0000 0.0000 0.1744 (multiplicity 4)


Entry 3:
NdYGaNi: calculated powder diffraction line list (Cu Ka), based on a GGA-PBE-relaxed structure.

Largest 10 diffraction maxima, low angle first, 2θ from 10° to 90°:
d/Å	Position (°2θ)	Rel. int.
3.262	27.34	19.7
2.906	30.77	100.0
2.653	33.78	45.6
2.254	40.00	41.2
2.174	41.54	24.5
2.155	41.93	25.0
2.136	42.30	24.3
1.664	55.20	22.0
1.530	60.50	15.6
1.517	61.08	15.9

Atomic structure:
Cell lengths 4.2730, 4.3096, 10.1007 Å; angles 90.00, 90.00, 90.00 degrees
Space group Amm2 (No. 38)
Symmetry-distinct sites (fractional):
Nd1 0.0000 0.0000 0.0000 (multiplicity 2)
Y1 0.5000 0.0000 0.2892 (multiplicity 2)
Ga1 0.5000 0.0000 0.5889 (multiplicity 2)
Ni1 0.0000 0.0000 0.7186 (multiplicity 2)


Entry 4:
PaIn2Se4: calculated powder diffraction line list (Cu Ka), based on a GGA-PBE-relaxed structure.

Largest 10 diffraction maxima, low angle first, 2θ from 10° to 90°:
d/Å	Position (°2θ)	Rel. int.
7.129	12.42	100.0
3.605	24.70	24.3
3.121	28.60	50.8
3.011	29.67	96.7
2.337	38.52	19.5
2.168	41.66	87.8
2.089	43.31	17.7
1.782	51.26	17.2
1.736	52.73	18.3
1.722	53.19	17.0

Atomic structure:
Cell lengths 8.6843, 12.4856, 4.1778 Å; angles 90.00, 90.00, 90.00 degrees
Space group Cmmm (No. 65)
Symmetry-distinct sites (fractional):
Pa1 0.0000 0.0000 0.0000 (multiplicity 2)
In1 0.2500 0.2500 0.5000 (multiplicity 4)
Se1 0.0000 0.2247 0.0000 (multiplicity 4)
Se2 0.2167 0.0000 0.5000 (multiplicity 4)